1.
For Lu4AlNi2Ge4, DFT lattice parameters and positions (GGA-PBE) gives the simulated PXRD pattern in this record (copper Kα).

Main lines, low angle first (2θ from 10° to 90°):
hkl 1 1 0, 4.011 Å, 22.16°, I = 18; hkl 4 0 0, 3.560 Å, 25.02°, I = 13; hkl 3 1 1, 2.619 Å, 34.23°, I = 43; hkl 3 1 -2, 2.535 Å, 35.41°, I = 61; hkl 6 0 -1, 2.497 Å, 35.97°, I = 17; hkl 1 1 2, 2.422 Å, 37.12°, I = 100; hkl 5 1 0, 2.354 Å, 38.24°, I = 20; hkl 0 2 0, 2.090 Å, 43.29°, I = 37; hkl 9 1 -1, 1.544 Å, 59.90°, I = 14; hkl 4 2 3, 1.288 Å, 73.56°, I = 15

Atomic structure:
Cell: 15.001 4.180 6.841 Å, 90.00 108.34 90.00°
Space group C2/m (No. 12)
Symmetry-distinct sites (fractional):
Lu 0.090 0.000 0.390 x4
Lu 0.154 0.000 0.938 x4
Al 0.000 0.500 0.000 x2
Ni 0.218 0.500 0.641 x4
Ge 0.064 0.500 0.671 x4
Ge 0.197 0.500 0.258 x4


2.
For Sm3Zn2Si4Pd2, DFT lattice parameters and positions (GGA-PBE) gives the simulated PXRD pattern in this record (copper Kα).

Main lines, low angle first (2θ from 10° to 90°):
hkl 0 1 3, 3.756 Å, 23.69°, I = 20; hkl 1 0 7, 2.686 Å, 33.36°, I = 38; hkl 1 1 4, 2.647 Å, 33.87°, I = 100; hkl 0 1 9, 2.323 Å, 38.77°, I = 12; hkl 0 2 0, 2.102 Å, 43.03°, I = 21; hkl 2 0 0, 2.029 Å, 44.67°, I = 19; hkl 0 1 11, 2.004 Å, 45.25°, I = 21; hkl 1 2 7, 1.655 Å, 55.52°, I = 17; hkl 2 2 0, 1.460 Å, 63.76°, I = 13; hkl 2 1 11, 1.426 Å, 65.47°, I = 14

Atomic structure:
Cell: 4.057 4.204 25.080 Å, 90.00 90.00 90.00°
Space group Immm (No. 71)
Symmetry-distinct sites (fractional):
Sm 0.000 0.000 0.000 x2
Sm 0.000 0.500 0.146 x4
Zn 0.000 0.000 0.250 x4
Si 0.000 0.000 0.453 x4
Si 0.000 0.500 0.310 x4
Pd 0.000 0.500 0.405 x4


3.
For ErTmAl2I2, DFT lattice parameters and positions (GGA-PBE) gives the simulated PXRD pattern in this record (copper Kα).

Main lines, low angle first (2θ from 10° to 90°):
hkl 0 0 2, 5.993 Å, 14.78°, I = 31; hkl 1 0 0, 3.689 Å, 24.13°, I = 15; hkl 1 0 1, 3.525 Å, 25.26°, I = 63; hkl 1 0 2, 3.141 Å, 28.41°, I = 33; hkl 1 0 3, 2.710 Å, 33.05°, I = 100; hkl 1 1 0, 2.130 Å, 42.45°, I = 43; hkl 0 1 5, 2.009 Å, 45.14°, I = 27; hkl 0 2 3, 1.674 Å, 54.83°, I = 24; hkl 1 1 6, 1.457 Å, 63.90°, I = 24; hkl 2 1 3, 1.316 Å, 71.70°, I = 21

Atomic structure:
Cell: 4.2592 4.2592 11.9851 Å, 90.00 90.00 120.00°
Space group P3m1 (No. 156)
Symmetry-distinct sites (fractional):
Er 0.0000 0.0000 0.0000 x1
Tm 0.0000 0.0000 0.6660 x1
Al 0.3333 0.6667 0.8496 x1
Al 0.6667 0.3333 0.8150 x1
I 0.3333 0.6667 0.5052 x1
I 0.6667 0.3333 0.1620 x1


4.
For Na2H6PdO6, DFT lattice parameters and positions (GGA-PBE) gives the simulated PXRD pattern in this record (copper Kα).

Main lines, low angle first (2θ from 10° to 90°):
hkl 1 0 0, 4.941 Å, 17.95°, I = 100; hkl 0 0 1, 4.423 Å, 20.08°, I = 49; hkl 0 1 1, 3.295 Å, 27.06°, I = 49; hkl 1 1 0, 2.853 Å, 31.35°, I = 27; hkl 2 -1 1, 2.397 Å, 37.51°, I = 94; hkl 2 0 1, 2.157 Å, 41.88°, I = 19; hkl 1 1 2, 1.748 Å, 52.35°, I = 38; hkl 3 -2 1, 1.721 Å, 53.24°, I = 18; hkl 3 0 0, 1.647 Å, 55.81°, I = 33; hkl 3 0 1, 1.544 Å, 59.93°, I = 17

Atomic structure:
Cell: 5.7059 5.7059 4.4226 Å, 90.00 90.00 120.00°
Space group P-3 (No. 147)
Symmetry-distinct sites (fractional):
Na 0.3333 0.6667 0.0499 x2
H 0.1488 0.8147 0.5791 x6
Pd 0.0000 0.0000 0.0000 x1
O 0.0178 0.7139 0.7436 x6